The following is a calculated X-ray powder pattern of TbPr4Er2. It was derived from a crystal structure in Alexandria, relaxed with PBE, using copper Kα.
No peak broadening, texture or thermal motion is included.

Structural model:
Unit cell a=12.073 b=24.447 c=6.499 alpha=90.00 beta=90.00 gamma=90.00
Space group Fdd2 (No. 43)
Symmetry-distinct sites (fractional):
Tb 0.000 0.000 0.000 [8 per cell]
Pr 0.051 0.429 0.995 [16 per cell]
Pr 0.068 0.356 0.466 [16 per cell]
Er 0.024 0.284 0.942 [16 per cell]

Peak list (6 most intense, 10° ≤ 2θ ≤ 80°, in order of falling intensity)
- 30.0 deg, I 100, (1 7 1)
- 31.3 deg, I 64, (2 0 2)
- 31.9 deg, I 32, (3 5 1)
- 30.5 deg, I 30, (4 2 0)
- 36.8 deg, I 28, (3 7 1)
- 32.1 deg, I 23, (2 2 2)


The following is a calculated X-ray powder pattern of RbMgCo2Br8. It was derived from a crystal structure in Alexandria, relaxed with PBE, using copper Kα.
No peak broadening, texture or thermal motion is included.

Structural model:
Unit cell a=6.7263 b=6.7263 c=29.6863 alpha=90.00 beta=90.00 gamma=120.00
Space group R-3 (No. 148, hexagonal axes)
Symmetry-distinct sites (fractional):
Rb 0.0000 0.0000 0.0000 [3 per cell]
Mg 0.0000 0.0000 0.5000 [3 per cell]
Co 0.0000 0.0000 0.2442 [6 per cell]
Br 0.0000 0.0000 0.3227 [6 per cell]
Br 0.0009 0.3265 0.5540 [18 per cell]

Peak list (6 most intense, 10° ≤ 2θ ≤ 80°, in order of falling intensity)
- 28.0 deg, I 100, (1 1 3)
- 32.2 deg, I 59, (2 -1 6)
- 27.0 deg, I 39, (0 0 9)
- 45.5 deg, I 38, (1 1 12)
- 46.8 deg, I 38, (3 0 0)
- 54.9 deg, I 31, (3 0 9)


The following is a calculated X-ray powder pattern of La5Tb5Pr2. It was derived from a crystal structure in Alexandria, relaxed with PBE, using copper Kα.
No peak broadening, texture or thermal motion is included.

Structural model:
Unit cell a=15.619 b=5.171 c=11.575 alpha=90.00 beta=116.80 gamma=90.00
Space group C2/m (No. 12)
Symmetry-distinct sites (fractional):
La 0.000 0.000 0.000 [2 per cell]
La 0.083 0.000 0.752 [4 per cell]
La 0.249 0.000 0.248 [4 per cell]
Tb 0.000 0.500 0.500 [2 per cell]
Tb 0.083 0.500 0.250 [4 per cell]
Tb 0.167 0.500 0.000 [4 per cell]
Pr 0.166 0.000 0.500 [4 per cell]

Peak list (6 most intense, 10° ≤ 2θ ≤ 80°, in order of falling intensity)
- 29.9 deg, I 100, (3 1 1)
- 34.7 deg, I 34, (0 2 0)
- 59.3 deg, I 29, (3 3 1)
- 49.7 deg, I 24, (6 0 2)
- 34.5 deg, I 17, (6 0 -2)
- 62.1 deg, I 12, (6 2 2)


The following is a calculated X-ray powder pattern of Bi2PbO5. It was derived from a crystal structure in Alexandria, relaxed with PBE, using copper Kα.
No peak broadening, texture or thermal motion is included.

Structural model:
Unit cell a=8.108 b=5.750 c=11.643 alpha=90.00 beta=106.75 gamma=90.00
Space group P2_1/c (No. 14)
Symmetry-distinct sites (fractional):
Bi 0.133 0.025 0.359 [4 per cell]
Bi 0.359 0.038 0.688 [4 per cell]
Pb 0.000 0.000 0.000 [2 per cell]
Pb 0.500 0.000 0.000 [2 per cell]
O 0.056 0.202 0.186 [4 per cell]
O 0.096 0.679 0.094 [4 per cell]
O 0.239 0.148 0.989 [4 per cell]
O 0.399 0.716 0.342 [4 per cell]
O 0.474 0.231 0.360 [4 per cell]

Peak list (6 most intense, 10° ≤ 2θ ≤ 80°, in order of falling intensity)
- 26.9 deg, I 100, (2 1 -1)
- 28.6 deg, I 91, (0 1 3)
- 31.1 deg, I 30, (0 2 0)
- 45.0 deg, I 29, (2 2 2)
- 31.7 deg, I 28, (2 0 2)
- 46.6 deg, I 21, (2 2 -4)


The following is a calculated X-ray powder pattern of As2C3. It was derived from a crystal structure in Alexandria, relaxed with PBE, using copper Kα.
No peak broadening, texture or thermal motion is included.

Structural model:
Unit cell a=8.841 b=9.945 c=7.510 alpha=90.00 beta=90.00 gamma=90.00
Space group Fdd2 (No. 43)
Symmetry-distinct sites (fractional):
As 0.089 0.302 0.000 [16 per cell]
C 0.000 0.000 0.266 [8 per cell]
C 0.119 0.424 0.795 [16 per cell]

Peak list (6 most intense, 10° ≤ 2θ ≤ 80°, in order of falling intensity)
- 29.8 deg, I 100, (0 2 2)
- 17.9 deg, I 95, (1 1 1)
- 31.2 deg, I 77, (1 3 1)
- 33.9 deg, I 73, (3 1 1)
- 48.5 deg, I 41, (0 0 4)
- 36.2 deg, I 30, (2 2 2)


The following is a calculated X-ray powder pattern of Tb4DySe6. It was derived from a crystal structure in Alexandria, relaxed with PBE, using copper Kα.
No peak broadening, texture or thermal motion is included.

Structural model:
Unit cell a=3.997 b=13.453 c=20.820 alpha=90.00 beta=90.00 gamma=90.00
Space group Cmcm (No. 63)
Symmetry-distinct sites (fractional):
Tb 0.000 0.089 0.127 [8 per cell]
Tb 0.000 0.359 0.038 [8 per cell]
Dy 0.000 0.153 0.750 [4 per cell]
Se 0.000 0.000 0.000 [4 per cell]
Se 0.000 0.192 0.250 [4 per cell]
Se 0.000 0.269 0.591 [8 per cell]
Se 0.000 0.446 0.167 [8 per cell]

Peak list (6 most intense, 10° ≤ 2θ ≤ 80°, in order of falling intensity)
- 31.2 deg, I 100, (1 3 2)
- 32.7 deg, I 66, (1 3 3)
- 25.2 deg, I 57, (0 2 5)
- 42.0 deg, I 44, (1 1 8)
- 30.3 deg, I 41, (1 3 1)
- 29.0 deg, I 38, (0 2 6)


The following is a calculated X-ray powder pattern of K3TeS4. It was derived from a crystal structure in Alexandria, relaxed with PBE, using copper Kα.
No peak broadening, texture or thermal motion is included.

Structural model:
Unit cell a=7.450 b=10.610 c=7.212 alpha=90.00 beta=90.00 gamma=90.00
Space group Imm2 (No. 44)
Symmetry-distinct sites (fractional):
K 0.000 0.000 0.000 [2 per cell]
K 0.000 0.241 0.572 [4 per cell]
Te 0.000 0.500 0.973 [2 per cell]
S 0.000 0.313 0.155 [4 per cell]
S 0.169 0.000 0.381 [4 per cell]

Peak list (6 most intense, 10° ≤ 2θ ≤ 80°, in order of falling intensity)
- 14.9 deg, I 100, (0 1 1)
- 24.0 deg, I 89, (1 2 1)
- 23.9 deg, I 52, (2 0 0)
- 30.0 deg, I 46, (0 2 2)
- 42.1 deg, I 39, (3 2 1)
- 17.1 deg, I 32, (1 0 1)


The following is a calculated X-ray powder pattern of Ba3Ho2O4F3. It was derived from a crystal structure in Alexandria, relaxed with PBE, using copper Kα.
No peak broadening, texture or thermal motion is included.

Structural model:
Unit cell a=4.291 b=4.321 c=23.822 alpha=90.00 beta=90.00 gamma=90.00
Space group Immm (No. 71)
Symmetry-distinct sites (fractional):
Ba 0.000 0.000 0.000 [2 per cell]
Ba 0.000 0.000 0.199 [4 per cell]
Ho 0.000 0.000 0.398 [4 per cell]
O 0.000 0.000 0.308 [4 per cell]
O 0.000 0.500 0.415 [4 per cell]
F 0.000 0.000 0.500 [2 per cell]
F 0.000 0.500 0.078 [4 per cell]

Peak list (6 most intense, 10° ≤ 2θ ≤ 80°, in order of falling intensity)
- 27.9 deg, I 100, (0 1 5)
- 28.0 deg, I 99, (1 0 5)
- 29.3 deg, I 97, (1 1 0)
- 48.5 deg, I 53, (1 1 10)
- 51.1 deg, I 38, (1 2 5)
- 51.3 deg, I 38, (2 1 5)


The following is a calculated X-ray powder pattern of SmPd3O6. It was derived from a crystal structure in Alexandria, relaxed with PBE, using copper Kα.
No peak broadening, texture or thermal motion is included.

Structural model:
Unit cell a=7.181 b=10.212 c=3.490 alpha=90.00 beta=90.00 gamma=90.00
Space group Cmmm (No. 65)
Symmetry-distinct sites (fractional):
Sm 0.000 0.000 0.000 [2 per cell]
Pd 0.000 0.500 0.000 [2 per cell]
Pd 0.250 0.250 0.500 [4 per cell]
O 0.000 0.156 0.500 [4 per cell]
O 0.207 0.369 0.000 [8 per cell]

Peak list (6 most intense, 10° ≤ 2θ ≤ 80°, in order of falling intensity)
- 31.0 deg, I 100, (0 2 1)
- 30.4 deg, I 98, (2 2 0)
- 51.1 deg, I 62, (2 4 1)
- 35.9 deg, I 43, (2 0 1)
- 60.8 deg, I 29, (4 2 1)
- 61.8 deg, I 26, (2 2 2)